Structure and calculated PXRD pattern of Tm2S3 (DFT lattice parameters and positions (GGA-PBE); Cu Ka).
Peak positions follow from Bragg's law for the DFT cell and can differ from measured ones.

Main lines, in order of rising 2θ (2θ from 10° to 90°):
2θ (°)  intensity  (hkl)
17.82  26.9  1 0 2
19.09  21.1  0 0 4
24.38  68.8  1 0 4
26.18  100.0  1 1 0
32.61  28.7  1 1 4
36.08  33.2  2 0 4
39.32  85.5  1 1 6
45.12  31.1  2 1 4
46.20  47.5  3 0 0
62.24  21.4  2 2 6

Structure:
```
data_Tm2S3
_cell_length_a 6.8067
_cell_length_b 6.8067
_cell_length_c 18.5982
_cell_angle_alpha 90.00
_cell_angle_beta 90.00
_cell_angle_gamma 120.00
_symmetry_space_group_name_H-M 'P 63 c m'
_symmetry_Int_Tables_number 185
_symmetry_space_group_name_Hall 'P 6c -2'
loop_
_atom_site_label
_atom_site_fract_x
_atom_site_fract_y
_atom_site_fract_z
_atom_site_occupancy
Tm1 0.0000 0.0000 0.0000 1
Tm2 0.0000 0.0000 0.2030 1
Tm3 0.3333 0.6667 0.0371 1
Tm4 0.3333 0.6667 0.3389 1
S1 0.0000 0.2999 0.0977 1
S2 0.0000 0.3347 0.7721 1
S3 0.0000 0.3695 0.4415 1
```

***

Structure and calculated PXRD pattern of Tm2S3 (DFT lattice parameters and positions (GGA-PBE); Cu Ka).
Peak positions follow from Bragg's law for the DFT cell and can differ from measured ones.

Main lines, in order of rising 2θ (2θ from 10° to 90°):
2θ (°)  intensity  (hkl)
23.93  64.0  1 0 -3
24.48  100.0  3 0 -1
26.81  43.6  1 1 1
27.81  37.8  2 0 2
28.16  40.3  1 1 -2
31.58  52.4  2 1 1
34.83  41.8  3 1 0
43.00  44.7  4 1 -3
44.65  30.9  1 1 4
46.74  38.1  0 2 0

Structure:
```
data_Tm2S3
_cell_length_a 10.9009
_cell_length_b 3.8876
_cell_length_c 11.1564
_cell_angle_alpha 90.00
_cell_angle_beta 108.85
_cell_angle_gamma 90.00
_symmetry_space_group_name_H-M 'P 1 21/m 1'
_symmetry_Int_Tables_number 11
_symmetry_space_group_name_Hall '-P 2yb'
loop_
_atom_site_label
_atom_site_fract_x
_atom_site_fract_y
_atom_site_fract_z
_atom_site_occupancy
Tm1 0.0434 0.2500 0.1902 1
Tm2 0.1606 0.2500 0.5836 1
Tm3 0.3173 0.7500 0.9972 1
Tm4 0.4321 0.2500 0.3317 1
S1 0.0816 0.7500 0.4017 1
S2 0.1102 0.2500 0.9631 1
S3 0.1911 0.7500 0.7496 1
S4 0.2538 0.7500 0.2231 1
S5 0.3979 0.2500 0.5636 1
S6 0.4772 0.2500 0.1132 1
```

***

Structure and calculated PXRD pattern of TmS4 (DFT lattice parameters and positions (GGA-PBE); Cu Ka).
Peak positions follow from Bragg's law for the DFT cell and can differ from measured ones.

Main lines, in order of rising 2θ (2θ from 10° to 90°):
2θ (°)  intensity  (hkl)
17.16  90.6  0 0 1
18.04  100.0  0 1 0
21.44  29.8  0 1 -1
22.11  43.4  1 0 0
26.67  49.6  1 -1 0
30.56  93.7  1 1 0
33.57  59.3  -1 1 1
34.73  95.3  0 1 -2
40.70  37.0  1 -2 1
47.29  35.4  2 0 -1

Structure:
```
data_TmS4
_cell_length_a 4.0619
_cell_length_b 5.1315
_cell_length_c 5.3593
_cell_angle_alpha 104.74
_cell_angle_beta 92.41
_cell_angle_gamma 96.89
_symmetry_space_group_name_H-M 'P -1'
_symmetry_Int_Tables_number 2
_symmetry_space_group_name_Hall '-P 1'
loop_
_atom_site_label
_atom_site_fract_x
_atom_site_fract_y
_atom_site_fract_z
_atom_site_occupancy
Tm1 0.0000 0.0000 0.0000 1
S1 0.1684 0.8670 0.4668 1
S2 0.4489 0.6132 0.8671 1
```

***

Structure and calculated PXRD pattern of Tm8S11 (DFT lattice parameters and positions (GGA-PBE); Cu Ka).
Peak positions follow from Bragg's law for the DFT cell and can differ from measured ones.

Main lines, in order of rising 2θ (2θ from 10° to 90°):
2θ (°)  intensity  (hkl)
24.70  100.0  0 2 8
28.17  22.6  0 4 0
32.29  15.8  1 3 2
34.41  31.8  1 3 5
41.18  13.8  0 0 16
41.83  15.6  1 1 13
47.81  20.4  0 6 8
48.45  15.4  2 0 0
55.12  21.2  2 2 8
70.43  12.8  2 6 8

Structure:
```
data_Tm8S11
_cell_length_a 3.7578
_cell_length_b 12.6703
_cell_length_c 35.0762
_cell_angle_alpha 90.00
_cell_angle_beta 90.00
_cell_angle_gamma 90.00
_symmetry_space_group_name_H-M 'C m c m'
_symmetry_Int_Tables_number 63
_symmetry_space_group_name_Hall '-C 2c 2'
loop_
_atom_site_label
_atom_site_fract_x
_atom_site_fract_y
_atom_site_fract_z
_atom_site_occupancy
Tm1 0.0000 0.0000 0.0000 1
Tm2 0.0000 0.0197 0.1328 1
Tm3 0.0000 0.2406 0.6830 1
Tm4 0.0000 0.2572 0.0580 1
Tm5 0.0000 0.4896 0.7500 1
S1 0.0000 0.0903 0.5685 1
S2 0.0000 0.1148 0.2034 1
S3 0.0000 0.1423 0.7500 1
S4 0.0000 0.3350 0.6116 1
S5 0.0000 0.3532 0.5160 1
S6 0.0000 0.3969 0.1629 1
```

***

Structure and calculated PXRD pattern of Tm5S8 (DFT lattice parameters and positions (GGA-PBE); Cu Ka).
Peak positions follow from Bragg's law for the DFT cell and can differ from measured ones.

Main lines, in order of rising 2θ (2θ from 10° to 90°):
2θ (°)  intensity  (hkl)
14.03  100.0  2 0 -1
26.17  88.5  0 2 1
26.39  41.5  0 0 2
29.67  36.2  2 0 1
29.97  60.9  2 2 -2
38.53  26.4  4 0 0
38.64  40.7  4 2 -1
39.17  51.9  4 2 -3
46.03  22.2  0 4 0
46.45  43.6  0 2 3

Structure:
```
data_Tm5S8
_cell_length_a 12.6295
_cell_length_b 7.8880
_cell_length_c 9.1266
_cell_angle_alpha 90.00
_cell_angle_beta 132.27
_cell_angle_gamma 90.00
_symmetry_space_group_name_H-M 'C 1 2/m 1'
_symmetry_Int_Tables_number 12
_symmetry_space_group_name_Hall '-C 2y'
loop_
_atom_site_label
_atom_site_fract_x
_atom_site_fract_y
_atom_site_fract_z
_atom_site_occupancy
Tm1 0.0000 0.0000 0.0000 1
Tm2 0.0000 0.2579 0.5000 1
Tm3 0.2170 0.5000 0.9956 1
S1 0.0082 0.0000 0.3068 1
S2 0.0448 0.5000 0.3451 1
S3 0.2157 0.2255 0.1660 1
```

***

Structure and calculated PXRD pattern of Tm2S3 (DFT lattice parameters and positions (GGA-PBE); Cu Ka).
Peak positions follow from Bragg's law for the DFT cell and can differ from measured ones.

Main lines, in order of rising 2θ (2θ from 10° to 90°):
2θ (°)  intensity  (hkl)
26.56  100.0  1 1 6
34.46  61.1  3 1 0
34.56  25.4  1 0 9
41.07  52.4  2 1 9
49.54  23.6  4 0 6
52.18  22.6  3 2 9
57.05  13.3  4 3 3
57.15  14.7  3 1 12
70.56  12.2  5 3 6
87.00  14.1  7 2 3

Structure:
```
data_Tm2S3
_cell_length_a 8.2321
_cell_length_b 8.2321
_cell_length_c 24.6118
_cell_angle_alpha 90.00
_cell_angle_beta 90.00
_cell_angle_gamma 90.00
_symmetry_space_group_name_H-M 'I -4 2 d'
_symmetry_Int_Tables_number 122
_symmetry_space_group_name_Hall 'I -4 2bw'
loop_
_atom_site_label
_atom_site_fract_x
_atom_site_fract_y
_atom_site_fract_z
_atom_site_occupancy
Tm1 0.0000 0.0000 0.1640 1
Tm2 0.1168 0.7500 0.6250 1
Tm3 0.1405 0.7386 0.9618 1
S1 0.0628 0.6824 0.1848 1
S2 0.0691 0.6845 0.8569 1
S3 0.0788 0.6759 0.5177 1
```